(1)
# CsGa6Sn2
Computed PXRD pattern, Cu Kα X-rays. Input: a crystal structure in Alexandria, relaxed with GGA-PBE.

Cell and atoms:
a = 5.0180 Å, b = 5.0180 Å, c = 9.1959 Å
α = 90.00°, β = 90.00°, γ = 90.00°
Space group P4/mmm (No. 123)
Symmetry-distinct sites (fractional):
Cs: 0.0000 0.0000 0.0000 [1 per cell]
Ga: 0.0000 0.0000 0.5000 [1 per cell]
Ga: 0.0000 0.5000 0.3423 [4 per cell]
Ga: 0.5000 0.5000 0.5000 [1 per cell]
Sn: 0.5000 0.5000 0.1759 [2 per cell]

The 12 most intense peaks (2θ from 5° to 70°), in order of falling intensity:
d_spacing	two_theta	Rel. int.	index
2.509	35.8	100.0	2 0 0
2.320	38.8	72.5	1 1 3
3.390	26.3	50.9	1 0 2
2.616	34.3	46.1	1 0 3
3.310	26.9	40.6	1 1 1
1.774	51.5	35.0	2 2 0
1.811	50.4	31.3	2 1 3
1.409	66.3	29.4	3 1 3
2.809	31.9	25.7	1 1 2
2.017	44.9	24.0	2 1 2
1.929	47.1	22.5	1 1 4
3.548	25.1	19.1	1 1 0

(2)
# Hf4TcNi3
Computed PXRD pattern, Cu Kα X-rays. Input: a crystal structure in Alexandria, relaxed with GGA-PBE.

Cell and atoms:
a = 4.5405 Å, b = 4.5405 Å, c = 22.1474 Å
α = 90.00°, β = 90.00°, γ = 120.00°
Space group R-3m (No. 166, hexagonal axes)
Symmetry-distinct sites (fractional):
Hf: 0.0000 0.0000 0.1237 [6 per cell]
Hf: 0.0000 0.0000 0.3742 [6 per cell]
Tc: 0.0000 0.0000 0.5000 [3 per cell]
Ni: 0.0000 0.0000 0.0000 [3 per cell]
Ni: 0.0000 0.0000 0.2471 [6 per cell]

The 11 most intense peaks (2θ from 5° to 70°), in order of falling intensity:
d_spacing	two_theta	Rel. int.	index
2.270	39.7	100.0	1 1 0
2.264	39.8	98.7	0 1 8
3.206	27.8	41.6	1 0 4
1.603	57.5	33.4	2 0 8
1.853	49.2	9.3	0 2 4
1.435	65.0	8.5	2 1 4
1.432	65.1	8.5	1 1 12
1.846	49.4	3.1	0 0 12
2.465	36.4	0.7	1 0 7
7.382	12.0	0.7	0 0 3
3.703	24.0	0.7	0 1 2

(3)
# LiTl2Cu
Computed PXRD pattern, Cu Kα X-rays. Input: a crystal structure in Alexandria, relaxed with GGA-PBE.

Cell and atoms:
a = 3.2817 Å, b = 3.5545 Å, c = 7.2968 Å
α = 90.00°, β = 90.00°, γ = 90.00°
Space group Pmm2 (No. 25)
Symmetry-distinct sites (fractional):
Li: 0.0000 0.0000 0.0000 [1 per cell]
Tl: 0.0000 0.0000 0.3964 [1 per cell]
Tl: 0.5000 0.5000 0.7507 [1 per cell]
Cu: 0.5000 0.5000 0.1581 [1 per cell]

The 12 most intense peaks (2θ from 5° to 70°), in order of falling intensity:
d_spacing	two_theta	Rel. int.	index
2.411	37.3	100.0	1 1 0
3.196	27.9	99.9	0 1 1
2.993	29.9	84.4	1 0 1
2.546	35.3	75.9	0 1 2
2.440	36.8	67.4	1 0 2
1.712	53.5	50.3	1 1 3
7.297	12.1	42.0	0 0 1
1.436	64.9	40.0	0 2 3
2.432	37.0	35.8	0 0 3
3.648	24.4	30.1	0 0 2
1.460	63.8	26.7	0 0 5
2.012	45.1	24.2	1 1 2